(1)
# Li3PS4
Calculated powder X-ray diffraction pattern, λ = 1.5418 Å (Cu Kα). Input: the PBE geometry in the Materials Project.
Neutral-atom scattering factors, no anomalous dispersion.

Atomic structure:
```
data_Li3PS4
_space_group_name_H-M_alt 'I -4 2 m'
_space_group_IT_number 121
_space_group_name_Hall 'I -4 2'
_cell_length_a 5.591
_cell_length_b 5.591
_cell_length_c 10.205
_cell_angle_alpha 90.00
_cell_angle_beta 90.00
_cell_angle_gamma 90.00
loop_
_atom_site_label
_atom_site_type_symbol
_atom_site_fract_x
_atom_site_fract_y
_atom_site_fract_z
Li1 Li 0.000 0.000 0.000
Li2 Li 0.000 0.500 0.250
P1 P 0.000 0.000 0.500
S1 S 0.213 0.213 0.617
```

Peak list (6 most intense, 10° ≤ 2θ ≤ 90°, in order of rising 2θ)
| hkl | 2θ/deg | d (Å) | Rel. int. |
| --- | --- | --- | --- |
| 1 0 1 | 18.09 | 4.903 | 44.9 |
| 1 1 2 | 28.56 | 3.125 | 100.0 |
| 2 2 0 | 45.91 | 1.977 | 15.1 |
| 2 0 4 | 48.30 | 1.884 | 29.2 |
| 3 1 2 | 54.96 | 1.671 | 16.9 |
| 1 1 6 | 59.13 | 1.562 | 11.1 |

---

(2)
# Li2Mo3S4
Calculated powder X-ray diffraction pattern, λ = 1.5418 Å (Cu Kα). Input: the PBE geometry in the Materials Project.
Neutral-atom scattering factors, no anomalous dispersion.

Atomic structure:
```
data_Li2Mo3S4
_space_group_name_H-M_alt 'P 1'
_space_group_IT_number 1
_cell_length_a 6.705
_cell_length_b 6.710
_cell_length_c 6.710
_cell_angle_alpha 95.15
_cell_angle_beta 95.10
_cell_angle_gamma 94.07
loop_
_space_group_symop_operation_xyz
'x,y,z'
loop_
_atom_site_label
_atom_site_type_symbol
_atom_site_fract_x
_atom_site_fract_y
_atom_site_fract_z
Li1 Li 0.000 0.000 0.000
Li2 Li 0.004 0.632 0.577
Li3 Li 0.044 0.486 0.080
Li4 Li 0.458 0.616 0.956
Mo1 Mo 0.258 0.148 0.393
Mo2 Mo 0.440 0.836 0.524
Mo3 Mo 0.481 0.191 0.747
Mo4 Mo 0.570 0.013 0.213
Mo5 Mo 0.611 0.368 0.434
Mo6 Mo 0.792 0.057 0.568
S1 S 0.159 0.980 0.690
S2 S 0.241 0.813 0.193
S3 S 0.314 0.473 0.606
S4 S 0.394 0.313 0.112
S5 S 0.653 0.893 0.850
S6 S 0.736 0.731 0.351
S7 S 0.812 0.387 0.768
S8 S 0.892 0.226 0.270
```

Peak list (6 most intense, 10° ≤ 2θ ≤ 90°, in order of rising 2θ)
| hkl | 2θ/deg | d (Å) | Rel. int. |
| --- | --- | --- | --- |
| 1 0 0 | 13.30 | 6.657 | 100.0 |
| 1 -1 2 | 32.55 | 2.751 | 11.2 |
| 2 1 2 | 44.02 | 2.057 | 9.1 |
| 1 3 -1 | 44.52 | 2.035 | 9.7 |
| -1 1 3 | 44.86 | 2.021 | 9.4 |
| 3 -1 1 | 44.96 | 2.016 | 9.5 |

---

(3)
# Eu2SeO2
Calculated powder X-ray diffraction pattern, λ = 1.5418 Å (Cu Kα). Input: the PBE geometry in the Materials Project.
Neutral-atom scattering factors, no anomalous dispersion.

Atomic structure:
```
data_Eu2SeO2
_space_group_name_H-M_alt 'P -3 m 1'
_space_group_IT_number 164
_space_group_name_Hall '-P 3 2"'
_cell_length_a 3.9465
_cell_length_b 3.9465
_cell_length_c 7.1440
_cell_angle_alpha 90.00
_cell_angle_beta 90.00
_cell_angle_gamma 120.00
loop_
_atom_site_label
_atom_site_type_symbol
_atom_site_fract_x
_atom_site_fract_y
_atom_site_fract_z
Eu1 Eu 0.3333 0.6667 0.2957
Se1 Se 0.0000 0.0000 0.0000
O1 O 0.3333 0.6667 0.6286
```

Peak list (6 most intense, 10° ≤ 2θ ≤ 90°, in order of rising 2θ)
| hkl | 2θ/deg | d (Å) | Rel. int. |
| --- | --- | --- | --- |
| 0 1 1 | 28.96 | 3.083 | 100.0 |
| 1 0 2 | 36.38 | 2.469 | 43.2 |
| 1 1 0 | 45.99 | 1.973 | 33.7 |
| 0 1 3 | 46.48 | 1.954 | 14.5 |
| 2 0 1 | 55.27 | 1.662 | 16.6 |
| 1 1 3 | 60.98 | 1.519 | 18.4 |